CeSe2: computed XRD peak list (a wavelength of 1.5418 Å), based on a crystal structure in the Materials Project, relaxed with GGA-PBE.

Structure:
```
CeSe2
1.0
6.4697 0.0000 0.0000
0.0000 6.6488 0.0000
0.0000 0.0000 4.3955
Ce Se
2 4
direct
0.0000 0.0000 0.0000
0.5000 0.5000 0.5000
0.2418 0.1433 0.5000
0.2582 0.6433 0.0000
0.7418 0.3567 0.0000
0.7582 0.8567 0.5000
```

Peak list (6 most intense, 2θ from 10° to 90°, sorted by position)
(1 1 0), 2θ = 19.14°, I 99
(1 0 1), 2θ = 24.48°, I 45
(1 1 1), 2θ = 27.97°, I 59
(1 2 0), 2θ = 30.23°, I 37
(2 1 1), 2θ = 37.06°, I 100
(0 3 1), 2θ = 45.85°, I 39